This entry pairs a crystal structure of Ba2NiF6 with its theoretical powder XRD pattern. Radiation: Cu Kα X-rays. Structure: DFT lattice parameters and positions (PBE+U).

Most intense lines, 10° ≤ 2θ ≤ 90°, by angle:
two_theta, I/Imax
27.01, 100.0
30.63, 35.2
37.76, 32.4
43.87, 34.9
45.31, 21.6
52.28, 32.1

a b c (Å): 8.7506 8.7506 8.7506
angles (deg): 152.72 152.72 38.97
Fractional positions:
Ba1 0.1511 0.1511 0.0000
Ba2 0.8489 0.8489 0.0000
Ni1 0.5000 0.5000 0.0000
F1 0.0000 0.5000 0.5000
F2 0.2500 0.7500 0.5000
F3 0.3811 0.3811 0.0000
F4 0.5000 0.0000 0.5000
F5 0.6189 0.6189 0.0000
F6 0.7500 0.2500 0.5000